Theoretical X-ray diffraction stick pattern of NiGeF6 for Cu Kα, 1.54184 Å, from a crystal structure in Alexandria, relaxed with GGA+U.
Neutral-atom scattering factors, no anomalous dispersion.

The 10 most intense peaks (2θ from 15° to 90°), sorted by position:
2θ 21.03, I 27.9
2θ 23.23, I 53.3
2θ 28.88, I 100.0
2θ 36.54, I 12.2
2θ 36.86, I 15.3
2θ 42.07, I 26.7
2θ 47.49, I 23.3
2θ 55.32, I 46.6
2θ 61.59, I 22.4
2θ 66.40, I 18.6

Structural model:
```
16
Lattice="4.8770 0.0000 0.0000 -2.4385 4.2236 0.0000 0.0000 0.0000 9.0727" Properties=species:S:1:pos:R:3 pbc="T T T"
Ni 0.0000 2.8157 2.2682
Ni 2.4385 1.4079 6.8045
Ge 0.0000 0.0000 0.0000
Ge 0.0000 0.0000 4.5364
F -0.6903 1.3280 1.0586
F -1.6336 2.9618 3.4777
F 0.6903 1.3280 3.4777
F -0.9433 4.1574 1.0586
F 1.4952 0.0662 5.5950
F 0.8049 1.2618 8.0141
F 1.6336 2.9618 1.0586
F 0.9433 4.1574 3.4777
F 3.3818 0.0662 8.0141
F 1.7482 2.8956 5.5950
F 4.0721 1.2618 5.5950
F 3.1288 2.8956 8.0141
```